RbEu2Cl5: computed powder X-ray diffraction pattern (λ = 1.5418 Å (Cu Kα)), based on a PBE-relaxed structure.
Kinematic intensities with the Lorentz-polarization factor, no thermal factor.

Crystal structure
```
RbEu2Cl5
1.0
9.039 0.000 0.000
0.000 7.963 0.000
-0.051 0.000 12.804
Rb Eu Cl
4 8 20
Cartesian
0.083 0.414 4.268
0.057 3.567 10.670
8.930 4.396 2.134
8.905 7.549 8.536
2.274 4.504 6.332
2.249 7.440 12.734
4.487 4.147 2.281
4.462 7.797 8.683
4.526 0.166 4.121
4.500 3.816 10.523
6.739 0.523 0.070
6.713 3.459 6.472
0.285 1.347 1.037
0.260 2.634 7.439
2.468 5.501 9.141
2.494 6.444 2.739
2.595 1.333 10.479
2.620 2.648 4.077
2.590 4.404 12.766
2.616 7.540 6.364
4.170 1.262 1.310
4.144 2.719 7.712
4.844 5.244 5.093
4.818 6.701 11.495
6.372 0.423 6.440
6.397 3.559 0.038
6.367 5.315 8.727
6.393 6.630 2.325
6.494 1.520 10.066
6.520 2.462 3.663
8.728 5.329 5.366
8.702 6.616 11.768
```

Most intense lines, 5° ≤ 2θ ≤ 70°, in order of rising 2θ:
hkl	two_theta	intensity
1 0 0	9.8	197
0 2 0	22.3	245
0 1 3	23.7	1000
2 0 -2	24.1	332
2 2 -1	30.7	181
2 2 -2	33.1	460
2 0 4	34.4	127
1 3 2	38.0	162
4 0 0	39.9	187
0 3 3	40.0	202
2 1 -5	42.0	154
2 1 5	42.2	123